1.
For Na2CdHgF6, a DFT-relaxed cell (GGA-PBE, Alexandria) gives the theoretical powder diffraction line list in this record (Cu Kα).
Peak positions follow from Bragg's law for the DFT cell and can differ from measured ones.

The 10 most intense peaks (10 to 90 degrees two-theta), low angle first:
- 20.85°, intensity 51
- 21.03°, intensity 100
- 29.44°, intensity 30
- 29.59°, intensity 64
- 29.97°, intensity 59
- 30.38°, intensity 26
- 36.35°, intensity 18
- 42.81°, intensity 31
- 47.54°, intensity 28
- 52.52°, intensity 33

Structure:
Unit cell a=5.8851 b=6.0686 c=10.2721 alpha=90.00 beta=123.95 gamma=90.00
Element x y z (fractional)
Na  0.2296  0.0487  0.2311
Na  0.2296  0.4513  0.7311
Na  0.7704  0.5487  0.2689
Na  0.7704  0.9513  0.7689
Cd  0.5000  0.0000  0.0000
Cd  0.5000  0.5000  0.5000
Hg  0.0000  0.0000  0.5000
Hg  0.0000  0.5000  0.0000
F  0.1211  0.1711  0.9503
F  0.1211  0.3289  0.4503
F  0.2293  0.6929  0.9080
F  0.2293  0.8071  0.4080
F  0.3955  0.0925  0.7593
F  0.3955  0.4075  0.2593
F  0.6045  0.5925  0.7407
F  0.6045  0.9075  0.2407
F  0.7707  0.1929  0.5920
F  0.7707  0.3071  0.0920
F  0.8789  0.6711  0.5497
F  0.8789  0.8289  0.0497



2.
For SrCd2HgF8, a DFT-relaxed cell (GGA-PBE, Alexandria) gives the theoretical powder diffraction line list in this record (Cu Kα).
Peak positions follow from Bragg's law for the DFT cell and can differ from measured ones.

The 10 most intense peaks (10 to 90 degrees two-theta), low angle first:
- 11.19°, intensity 18
- 27.40°, intensity 97
- 27.55°, intensity 96
- 31.89°, intensity 31
- 45.58°, intensity 100
- 45.92°, intensity 20
- 53.94°, intensity 29
- 54.05°, intensity 29
- 54.30°, intensity 29
- 73.23°, intensity 18

Structure:
Unit cell a=3.9845 b=5.6429 c=7.9057 alpha=90.00 beta=90.00 gamma=90.00
Element x y z (fractional)
Sr  0.0000  0.0000  0.0000
Cd  0.5000  0.5000  0.2542
Cd  0.5000  0.5000  0.7458
Hg  0.0000  0.0000  0.5000
F  0.0000  0.2608  0.2552
F  0.0000  0.2608  0.7448
F  0.0000  0.7392  0.2552
F  0.0000  0.7392  0.7448
F  0.5000  0.2557  0.5000
F  0.5000  0.2634  0.0000
F  0.5000  0.7366  0.0000
F  0.5000  0.7443  0.5000



3.
For SrCdHgF6, a DFT-relaxed cell (GGA-PBE, Alexandria) gives the theoretical powder diffraction line list in this record (Cu Kα).
Peak positions follow from Bragg's law for the DFT cell and can differ from measured ones.

The 10 most intense peaks (10 to 90 degrees two-theta), low angle first:
- 17.36°, intensity 35
- 19.12°, intensity 13
- 24.40°, intensity 100
- 29.70°, intensity 59
- 34.61°, intensity 40
- 38.81°, intensity 30
- 46.65°, intensity 61
- 49.62°, intensity 29
- 52.71°, intensity 26
- 73.01°, intensity 15

Structure:
Unit cell a=6.0153 b=6.0153 c=10.2181 alpha=90.00 beta=90.00 gamma=120.00
Element x y z (fractional)
Sr  0.0000  0.0000  0.0000
Sr  0.0000  0.0000  0.5000
Cd  0.3333  0.6667  0.2500
Cd  0.6667  0.3333  0.7500
Hg  0.3333  0.6667  0.7500
Hg  0.6667  0.3333  0.2500
F  0.0101  0.3449  0.1345
F  0.0101  0.6652  0.3655
F  0.3348  0.3449  0.3655
F  0.3348  0.9899  0.1345
F  0.3449  0.0101  0.6345
F  0.3449  0.3348  0.8655
F  0.6551  0.6652  0.1345
F  0.6551  0.9899  0.3655
F  0.6652  0.0101  0.8655
F  0.6652  0.6551  0.6345
F  0.9899  0.3348  0.6345
F  0.9899  0.6551  0.8655



4.
For TlCd2HgF8, a DFT-relaxed cell (GGA-PBE, Alexandria) gives the theoretical powder diffraction line list in this record (Cu Kα).
Peak positions follow from Bragg's law for the DFT cell and can differ from measured ones.

The 10 most intense peaks (10 to 90 degrees two-theta), low angle first:
- 27.54°, intensity 100
- 31.91°, intensity 28
- 45.75°, intensity 58
- 54.23°, intensity 46
- 56.86°, intensity 8
- 66.70°, intensity 9
- 73.59°, intensity 15
- 75.83°, intensity 9
- 84.61°, intensity 12
- 84.70°, intensity 6

Structure:
Unit cell a=3.9626 b=5.6128 c=7.9366 alpha=90.00 beta=90.00 gamma=90.00
Element x y z (fractional)
Tl  0.0000  0.0000  0.0000
Cd  0.5000  0.5000  0.2542
Cd  0.5000  0.5000  0.7458
Hg  0.0000  0.0000  0.5000
F  0.0000  0.2592  0.2519
F  0.0000  0.2592  0.7481
F  0.0000  0.7408  0.2519
F  0.0000  0.7408  0.7481
F  0.5000  0.2575  0.0000
F  0.5000  0.2576  0.5000
F  0.5000  0.7424  0.5000
F  0.5000  0.7425  0.0000



5.
For TlCdHg2F8, a DFT-relaxed cell (GGA-PBE, Alexandria) gives the theoretical powder diffraction line list in this record (Cu Kα).
Peak positions follow from Bragg's law for the DFT cell and can differ from measured ones.

The 10 most intense peaks (10 to 90 degrees two-theta), low angle first:
- 27.36°, intensity 100
- 31.69°, intensity 31
- 45.43°, intensity 56
- 53.85°, intensity 47
- 56.45°, intensity 9
- 66.16°, intensity 6
- 73.04°, intensity 19
- 75.23°, intensity 8
- 75.33°, intensity 4
- 83.96°, intensity 18

Structure:
Unit cell a=3.9942 b=5.6408 c=7.9906 alpha=90.00 beta=90.00 gamma=90.00
Element x y z (fractional)
Tl  0.0000  0.0000  0.0000
Cd  0.0000  0.0000  0.5000
Hg  0.5000  0.5000  0.2569
Hg  0.5000  0.5000  0.7431
F  0.0000  0.2463  0.2567
F  0.0000  0.2463  0.7433
F  0.0000  0.7537  0.2567
F  0.0000  0.7537  0.7433
F  0.5000  0.2392  0.5000
F  0.5000  0.2475  0.0000
F  0.5000  0.7525  0.0000
F  0.5000  0.7608  0.5000



6.
For ZnCdHgF4, a DFT-relaxed cell (GGA-PBE, Alexandria) gives the theoretical powder diffraction line list in this record (Cu Kα).
Peak positions follow from Bragg's law for the DFT cell and can differ from measured ones.

The 10 most intense peaks (10 to 90 degrees two-theta), low angle first:
- 15.02°, intensity 49
- 25.76°, intensity 100
- 26.98°, intensity 32
- 29.45°, intensity 67
- 31.84°, intensity 53
- 33.43°, intensity 63
- 36.34°, intensity 26
- 41.12°, intensity 35
- 45.08°, intensity 25
- 50.51°, intensity 24

Structure:
Unit cell a=6.6457 b=6.6457 c=6.2225 alpha=95.11 beta=95.11 gamma=62.73
Element x y z (fractional)
Zn  0.1174  0.1174  0.3560
Zn  0.8826  0.8826  0.6440
Cd  0.2456  0.2456  0.8896
Cd  0.7544  0.7544  0.1104
Hg  0.4506  0.4506  0.2527
Hg  0.5494  0.5494  0.7473
F  0.0342  0.6391  0.8622
F  0.0566  0.0566  0.6885
F  0.2661  0.2661  0.5396
F  0.3609  0.9658  0.1378
F  0.6391  0.0342  0.8622
F  0.7339  0.7339  0.4604
F  0.9434  0.9434  0.3115
F  0.9658  0.3609  0.1378